No. 1
This entry pairs a crystal structure of MgFe6O10F2 with its simulated X-ray diffraction stick pattern. Radiation: Cu Kα X-rays. Structure: the GGA+U geometry in the Materials Project.

Top 8 peaks for 10° ≤ 2θ ≤ 90°, most intense first:
(hkl)	two_theta	d (Å)	Rel. int.
0 0 3	23.32	3.814	1000
2 0 -1	26.52	3.361	953
1 1 1	35.29	2.543	489
3 1 -3	53.29	1.719	451
1 1 -2	35.69	2.516	407
0 0 4	31.27	2.860	310
1 1 5	55.43	1.658	234
2 0 0	27.33	3.264	234

Structure:
abc: 6.729 2.924 11.795
angles: 90.00 104.06 90.00
Space group Pm (No. 6)
Unique sites:
Mg (0.000, 0.000, 0.000)
Fe (0.121, 0.000, 0.795)
Fe (0.371, 0.500, 0.216)
Fe (0.478, 0.000, 0.493)
Fe (0.563, 0.500, 0.767)
Fe (0.836, 0.000, 0.183)
Fe (0.984, 0.500, 0.511)
O (0.045, 0.500, 0.685)
O (0.123, 0.500, 0.915)
O (0.166, 0.000, 0.500)
O (0.168, 0.000, 0.174)
O (0.414, 0.000, 0.806)
O (0.428, 0.500, 0.384)
O (0.530, 0.500, 0.605)
O (0.549, 0.000, 0.191)
O (0.791, 0.000, 0.494)
O (0.834, 0.500, 0.069)
F (0.789, 0.000, 0.823)
F (0.909, 0.500, 0.305)



No. 2
This entry pairs a crystal structure of ZnFeP2O7 with its simulated X-ray diffraction stick pattern. Radiation: Cu Kα X-rays. Structure: the GGA+U geometry in the Materials Project.

Top 8 peaks for 10° ≤ 2θ ≤ 90°, most intense first:
(hkl)	two_theta	d (Å)	Rel. int.
1 0 2	29.12	3.066	1000
2 1 -2	29.27	3.051	335
2 3 -2	42.19	2.142	230
1 3 0	34.49	2.600	178
2 2 0	34.59	2.593	167
3 3 -4	57.61	1.600	127
1 1 3	40.66	2.219	120
1 1 1	22.63	3.928	97

Structure:
abc: 7.086 8.505 9.203
angles: 90.00 112.53 90.00
Space group P2_1/c (No. 14)
Unique sites:
Zn (0.196, 0.058, 0.317)
Fe (0.268, 0.069, 0.893)
P (0.034, 0.726, 0.970)
P (0.438, 0.734, 0.258)
O (0.012, 0.092, 0.651)
O (0.052, 0.613, 0.399)
O (0.123, 0.233, 0.452)
O (0.249, 0.677, 0.101)
O (0.381, 0.240, 0.297)
O (0.390, 0.610, 0.813)
O (0.471, 0.600, 0.378)



No. 3
This entry pairs a crystal structure of BaMnO3 with its simulated X-ray diffraction stick pattern. Radiation: Cu Kα X-rays. Structure: the GGA+U geometry in the Materials Project.

Top 8 peaks for 10° ≤ 2θ ≤ 90°, most intense first:
(hkl)	two_theta	d (Å)	Rel. int.
1 1 0	30.98	2.886	1000
1 0 4	25.68	3.469	811
2 0 4	40.67	2.219	542
0 0 8	37.31	2.410	296
2 0 7	49.25	1.850	231
1 0 5	29.26	3.052	212
2 1 4	51.99	1.759	198
2 2 0	64.58	1.443	191

Structure:
abc: 5.7725 5.7725 19.2689
angles: 90.00 90.00 120.00
Space group P6_3/mmc (No. 194)
Unique sites:
Ba (0.0000, 0.0000, 0.0000)
Ba (0.0000, 0.0000, 0.2500)
Ba (0.3333, 0.6667, 0.1272)
Mn (0.3333, 0.6667, 0.5527)
Mn (0.3333, 0.6667, 0.6847)
O (0.0000, 0.5000, 0.0000)
O (0.0361, 0.5180, 0.7500)
O (0.1863, 0.3726, 0.6205)